1.
This entry pairs a crystal structure of La2FeGeO6 with its theoretical PXRD pattern. Radiation: Cu Kα. Structure: a DFT-relaxed cell (PBE+U, Alexandria).
Neutral-atom scattering factors, no anomalous dispersion.

Cell and atoms:
Cell: 5.596 5.596 3.919 Å, 90.00 90.00 90.00°
Space group P4/mmm (No. 123)
Unique sites:
La 0.000 0.500 0.000 x2
Fe 0.000 0.000 0.500 x1
Ge 0.500 0.500 0.500 x1
O 0.000 0.000 0.000 x1
O 0.265 0.265 0.500 x4
O 0.500 0.500 0.000 x1

Top 12 peaks for 2θ = 10–90°, most intense first:
- hkl 1 1 1, d 2.785, intensity 100
- hkl 2 0 0, d 2.798, intensity 51
- hkl 3 1 1, d 1.613, intensity 39
- hkl 2 2 0, d 1.978, intensity 32
- hkl 2 0 1, d 2.277, intensity 22
- hkl 2 0 2, d 1.605, intensity 19
- hkl 2 2 2, d 1.392, intensity 19
- hkl 4 2 0, d 1.251, intensity 17
- hkl 0 0 2, d 1.960, intensity 16
- hkl 4 0 0, d 1.399, intensity 10
- hkl 4 0 2, d 1.139, intensity 10
- hkl 1 1 0, d 3.957, intensity 9


2.
This entry pairs a crystal structure of LiFeGe2O6 with its theoretical PXRD pattern. Radiation: Cu Kα. Structure: a DFT-relaxed cell (PBE+U, Alexandria).
Neutral-atom scattering factors, no anomalous dispersion.

Cell and atoms:
Cell: 9.742 8.931 5.446 Å, 90.00 103.04 90.00°
Space group P2_1/c (No. 14)
Unique sites:
Li 0.245 0.009 0.464 x4
Fe 0.249 0.651 0.463 x4
Ge 0.052 0.161 0.821 x4
Ge 0.454 0.158 0.234 x4
O 0.111 0.189 0.154 x4
O 0.131 0.502 0.245 x4
O 0.136 0.668 0.744 x4
O 0.359 0.668 0.184 x4
O 0.383 0.208 0.498 x4
O 0.384 0.520 0.673 x4

Top 12 peaks for 2θ = 10–90°, most intense first:
- hkl 1 2 1, d 3.075, intensity 100
- hkl 3 1 0, d 2.982, intensity 80
- hkl 2 0 -2, d 2.576, intensity 47
- hkl 3 2 -1, d 2.510, intensity 41
- hkl 0 2 0, d 4.465, intensity 34
- hkl 1 2 -1, d 3.374, intensity 33
- hkl 0 1 1, d 4.561, intensity 26
- hkl 4 3 1, d 1.662, intensity 26
- hkl 2 1 -1, d 3.663, intensity 22
- hkl 6 3 -1, d 1.422, intensity 21
- hkl 1 4 1, d 1.976, intensity 17
- hkl 1 2 -3, d 1.680, intensity 17